(1)
Structure and simulated powder diffractogram of ThSc2Fe9 (a crystal structure in Alexandria, relaxed with GGA-PBE; Cu Kα).
Intensities are scaled so that the largest is 100.

Peak list (6 most intense, 2θ from 10° to 80°, by intensity)
2theta  d [Å]  I/Imax
42.6  2.120  100
11.0  8.042  41
42.0  2.152  34
36.0  2.495  34
25.4  3.513  27
33.2  2.695  26

a = 8.5427 Å, b = 8.5427 Å, c = 8.5427 Å
α = 33.96°, β = 33.96°, γ = 33.96°
Fractional coordinates of all 12 atoms:
Th1 0.0000 0.0000 0.0000
Sc1 0.1440 0.1440 0.1440
Sc2 0.8560 0.8560 0.8560
Fe1 0.0843 0.5864 0.5864
Fe2 0.3327 0.3327 0.3327
Fe3 0.4136 0.4136 0.9157
Fe4 0.4136 0.9157 0.4136
Fe5 0.5000 0.5000 0.5000
Fe6 0.5864 0.0843 0.5864
Fe7 0.5864 0.5864 0.0843
Fe8 0.6673 0.6673 0.6673
Fe9 0.9157 0.4136 0.4136



(2)
Structure and simulated powder diffractogram of Ce2Y3Pb4 (a crystal structure in Alexandria, relaxed with GGA-PBE; Cu Kα).
Intensities are scaled so that the largest is 100.

Peak list (6 most intense, 2θ from 10° to 80°, by intensity)
2theta  d [Å]  I/Imax
31.7  2.827  100
30.2  2.956  79
28.5  3.132  68
31.4  2.853  49
50.5  1.808  34
32.5  2.753  31

a = 9.3929 Å, b = 9.3929 Å, c = 9.0645 Å
α = 90.00°, β = 90.00°, γ = 134.71°
Fractional coordinates of all 18 atoms:
Ce1 0.1110 0.8890 0.9119
Ce2 0.3890 0.6110 0.4119
Ce3 0.6110 0.3890 0.5881
Ce4 0.8890 0.1110 0.0881
Y1 0.0000 0.0000 0.5000
Y2 0.0433 0.4567 0.7500
Y3 0.4567 0.0433 0.2500
Y4 0.5000 0.5000 0.0000
Y5 0.5433 0.9567 0.7500
Y6 0.9567 0.5433 0.2500
Pb1 0.1860 0.8140 0.5553
Pb2 0.2199 0.2801 0.7500
Pb3 0.2801 0.2199 0.2500
Pb4 0.3140 0.6860 0.0553
Pb5 0.6860 0.3140 0.9447
Pb6 0.7199 0.7801 0.7500
Pb7 0.7801 0.7199 0.2500
Pb8 0.8140 0.1860 0.4447



(3)
Structure and simulated powder diffractogram of NpCu2O6 (a crystal structure in Alexandria, relaxed with GGA-PBE; Cu Kα).
Intensities are scaled so that the largest is 100.

Peak list (6 most intense, 2θ from 10° to 80°, by intensity)
2theta  d [Å]  I/Imax
11.6  7.617  100
26.1  3.413  92
25.8  3.455  73
32.0  2.794  49
21.1  4.214  49
40.2  2.245  47

a = 7.6176 Å, b = 3.7332 Å, c = 8.4280 Å
α = 90.00°, β = 90.68°, γ = 90.00°
Fractional coordinates of all 18 atoms:
Np1 0.0567 0.2500 0.3177
Np2 0.9433 0.7500 0.6823
Cu1 0.2774 0.2500 0.9206
Cu2 0.4803 0.7500 0.7363
Cu3 0.5197 0.2500 0.2637
Cu4 0.7226 0.7500 0.0794
O1 0.0453 0.2500 0.7539
O2 0.1170 0.7500 0.5126
O3 0.1442 0.2500 0.1065
O4 0.2830 0.7500 0.8688
O5 0.3131 0.2500 0.3705
O6 0.4646 0.2500 0.7788
O7 0.5354 0.7500 0.2212
O8 0.6869 0.7500 0.6295
O9 0.7170 0.2500 0.1312
O10 0.8558 0.7500 0.8935
O11 0.8830 0.2500 0.4874
O12 0.9547 0.7500 0.2461